Diffraction record for La4TbSm2Ho. The X-ray powder pattern is simulated, not measured: it uses a GGA-PBE-relaxed structure and Cu Kα X-rays.
Neutral-atom scattering factors, no anomalous dispersion.

Structure:
Lattice parameters (Å, degrees): 5.219 5.259 10.125 90.00 90.05 90.00
Space group P2/m (No. 10)
Asymmetric unit:
La  0.000  0.000  0.249
La  0.500  0.500  0.250
Tb  0.000  0.500  0.500
Sm  0.000  0.500  0.000
Sm  0.500  0.000  0.500
Ho  0.500  0.000  0.000

Most intense lines, 10° ≤ 2θ ≤ 90°, in order of falling intensity:
| 2θ (°) | I/Imax | h k l |
| --- | --- | --- |
| 29.89 | 100.0 | 1 1 2 |
| 34.09 | 17.6 | 0 2 0 |
| 34.36 | 17.3 | 2 0 0 |
| 35.46 | 15.9 | 0 0 4 |
| 58.45 | 15.0 | 1 3 2 |
| 58.80 | 14.7 | 3 1 2 |
| 60.26 | 13.6 | 1 1 6 |
| 49.19 | 12.6 | 2 2 0 |